For Cs3K8Au2, a GGA-PBE-relaxed structure gives the theoretical PXRD pattern in this record (Cu Kα (weighted mean of Kα1 and Kα2)).
Kinematic intensities with the Lorentz-polarization factor, no thermal factor.

Atomic structure:
abc: 11.9616 5.0197 14.8558
angles: 90.00 104.04 90.00
Positions (direct):
1 Cs 0.0000 0.0000 0.0000
2 Cs 0.3083 0.5000 0.8879
3 Cs 0.6917 0.5000 0.1121
4 K 0.1655 0.0000 0.5954
5 K 0.1678 0.5000 0.3510
6 K 0.3590 0.0000 0.1993
7 K 0.4485 0.5000 0.6052
8 K 0.5515 0.5000 0.3948
9 K 0.6410 0.0000 0.8007
10 K 0.8322 0.5000 0.6490
11 K 0.8345 0.0000 0.4046
12 Au 0.3770 0.0000 0.4460
13 Au 0.6230 0.0000 0.5540

Principal peaks in the range 5° ≤ 2θ ≤ 70°, by angle:
d_spacing	Rel. int.
14.412	67
11.604	91
10.348	78
7.206	74
6.920	63
4.516	100
4.111	54
3.535	93
3.498	55
3.460	61

***

For Cs3K7Au, a GGA-PBE-relaxed structure gives the theoretical PXRD pattern in this record (Cu Kα (weighted mean of Kα1 and Kα2)).
Kinematic intensities with the Lorentz-polarization factor, no thermal factor.

Atomic structure:
abc: 8.4442 8.4442 12.8158
angles: 99.08 99.08 110.55
Positions (direct):
1 Cs 0.0000 0.0000 0.0000
2 Cs 0.5299 0.8816 0.5632
3 Cs 0.8816 0.5299 0.5632
4 K 0.1728 0.5668 0.1885
5 K 0.1845 0.1845 0.3993
6 K 0.1916 0.1916 0.7420
7 K 0.3705 0.7133 0.8999
8 K 0.5668 0.1728 0.1885
9 K 0.7021 0.7021 0.2259
10 K 0.7133 0.3705 0.8999
11 Au 0.3829 0.3829 0.0212

Principal peaks in the range 5° ≤ 2θ ≤ 70°, by angle:
d_spacing	Rel. int.
12.314	37
7.328	46
6.157	67
6.046	97
4.785	39
4.137	54
3.980	59
3.659	100
3.533	59
2.634	43

***

For Cs6K9Au, a GGA-PBE-relaxed structure gives the theoretical PXRD pattern in this record (Cu Kα (weighted mean of Kα1 and Kα2)).
Kinematic intensities with the Lorentz-polarization factor, no thermal factor.

Atomic structure:
abc: 13.2363 13.2363 13.2363
angles: 130.84 130.84 72.07
Positions (direct):
1 Cs 0.1159 0.3037 0.4196
2 Cs 0.1665 0.1665 0.0000
3 Cs 0.3037 0.8841 0.1877
4 Cs 0.6963 0.1159 0.8123
5 Cs 0.8335 0.8335 0.0000
6 Cs 0.8841 0.6963 0.5804
7 K 0.0300 0.4111 0.7887
8 K 0.2413 0.0300 0.6189
9 K 0.3775 0.7587 0.7887
10 K 0.4111 0.6225 0.3811
11 K 0.5000 0.5000 0.0000
12 K 0.5889 0.3775 0.6189
13 K 0.6225 0.2413 0.2113
14 K 0.7587 0.9700 0.3811
15 K 0.9700 0.5889 0.2113
16 Au 0.0000 0.0000 0.0000

Principal peaks in the range 5° ≤ 2θ ≤ 70°, by angle:
d_spacing	Rel. int.
10.704	41
9.793	88
4.799	34
4.053	100
3.568	35
3.482	69
2.491	63
2.462	26
2.104	28
2.027	28

***

For Cs2K3Au4, a GGA-PBE-relaxed structure gives the theoretical PXRD pattern in this record (Cu Kα (weighted mean of Kα1 and Kα2)).
Kinematic intensities with the Lorentz-polarization factor, no thermal factor.

Atomic structure:
abc: 9.0974 9.1088 8.8222
angles: 90.00 108.15 90.00
Positions (direct):
1 Cs 0.1905 0.1734 0.0649
2 Cs 0.1905 0.3266 0.5649
3 Cs 0.8095 0.6734 0.4351
4 Cs 0.8095 0.8266 0.9351
5 K 0.2473 0.6761 0.2499
6 K 0.2473 0.8239 0.7499
7 K 0.5000 0.0000 0.5000
8 K 0.5000 0.5000 0.0000
9 K 0.7527 0.1761 0.2501
10 K 0.7527 0.3239 0.7501
11 Au 0.0772 0.5349 0.8785
12 Au 0.0772 0.9651 0.3785
13 Au 0.4993 0.1135 0.8802
14 Au 0.4993 0.3865 0.3802
15 Au 0.5007 0.6135 0.6198
16 Au 0.5007 0.8865 0.1198
17 Au 0.9228 0.0349 0.6215
18 Au 0.9228 0.4651 0.1215

Principal peaks in the range 5° ≤ 2θ ≤ 70°, by angle:
d_spacing	Rel. int.
5.674	35
4.552	100
3.442	34
3.369	33
3.182	70
3.170	54
3.137	45
2.855	47
2.798	58
2.203	30

***

For CsKNaAu, a GGA-PBE-relaxed structure gives the theoretical PXRD pattern in this record (Cu Kα (weighted mean of Kα1 and Kα2)).
Kinematic intensities with the Lorentz-polarization factor, no thermal factor.

Atomic structure:
abc: 5.1907 5.1907 25.6221
angles: 90.00 90.00 120.00
Positions (direct):
1 Cs 0.0000 0.0000 0.0000
2 Cs 0.3333 0.6667 0.6667
3 Cs 0.6667 0.3333 0.3333
4 K 0.0000 0.0000 0.1810
5 K 0.3333 0.6667 0.8477
6 K 0.6667 0.3333 0.5143
7 Na 0.0000 0.0000 0.4354
8 Na 0.3333 0.6667 0.1021
9 Na 0.6667 0.3333 0.7687
10 Au 0.0000 0.0000 0.7632
11 Au 0.3333 0.6667 0.4299
12 Au 0.6667 0.3333 0.0966

Principal peaks in the range 5° ≤ 2θ ≤ 70°, by angle:
d_spacing	Rel. int.
8.541	96
4.428	68
3.680	100
3.379	84
2.842	44
2.608	29
2.595	65
2.483	32
1.917	43
1.649	25

***

For Cs2KNaAu, a GGA-PBE-relaxed structure gives the theoretical PXRD pattern in this record (Cu Kα (weighted mean of Kα1 and Kα2)).
Kinematic intensities with the Lorentz-polarization factor, no thermal factor.

Atomic structure:
abc: 7.1746 7.1746 6.0539
angles: 90.00 90.00 90.00
Positions (direct):
1 Cs 0.0000 0.5000 0.0000
2 Cs 0.5000 0.0000 0.0000
3 K 0.0000 0.0000 0.5000
4 Na 0.5000 0.5000 0.5000
5 Au 0.5000 0.5000 0.0000

Principal peaks in the range 5° ≤ 2θ ≤ 70°, by angle:
d_spacing	Rel. int.
7.175	55
6.054	93
4.627	61
3.587	100
3.086	76
2.835	36
2.537	40
2.340	36
2.313	61
1.944	42

***

For CsK2NaAu, a GGA-PBE-relaxed structure gives the theoretical PXRD pattern in this record (Cu Kα (weighted mean of Kα1 and Kα2)).
Kinematic intensities with the Lorentz-polarization factor, no thermal factor.

Atomic structure:
abc: 9.3778 5.0595 12.7138
angles: 90.00 111.60 90.00
Positions (direct):
1 Cs 0.0476 0.2500 0.3528
2 Cs 0.9524 0.7500 0.6472
3 K 0.4461 0.7500 0.8549
4 K 0.4655 0.7500 0.3680
5 K 0.5345 0.2500 0.6320
6 K 0.5539 0.2500 0.1451
7 Na 0.1522 0.7500 0.0502
8 Na 0.8478 0.2500 0.9498
9 Au 0.2827 0.7500 0.5578
10 Au 0.7173 0.2500 0.4422

Principal peaks in the range 5° ≤ 2θ ≤ 70°, by angle:
d_spacing	Rel. int.
11.821	100
4.651	13
4.368	29
3.877	14
3.672	12
3.242	26
3.178	12
2.643	23
2.590	12
2.530	15

***

For Cs2KNaAu, a GGA-PBE-relaxed structure gives the theoretical PXRD pattern in this record (Cu Kα (weighted mean of Kα1 and Kα2)).
Kinematic intensities with the Lorentz-polarization factor, no thermal factor.

Atomic structure:
abc: 11.1872 5.2861 12.0762
angles: 90.00 117.44 90.00
Positions (direct):
1 Cs 0.1001 0.2500 0.3789
2 Cs 0.3326 0.2500 0.8188
3 Cs 0.6674 0.7500 0.1812
4 Cs 0.8999 0.7500 0.6211
5 K 0.2096 0.7500 0.1132
6 K 0.7904 0.2500 0.8868
7 Na 0.4804 0.7500 0.5961
8 Na 0.5196 0.2500 0.4039
9 Au 0.2158 0.7500 0.6002
10 Au 0.7842 0.2500 0.3998

Principal peaks in the range 5° ≤ 2θ ≤ 70°, by angle:
d_spacing	Rel. int.
10.718	62
9.908	100
3.975	28
3.763	84
3.673	50
2.959	24
2.802	29
2.643	20
2.483	49
2.145	29

***

For CsK2NaAu2, a GGA-PBE-relaxed structure gives the theoretical PXRD pattern in this record (Cu Kα (weighted mean of Kα1 and Kα2)).
Kinematic intensities with the Lorentz-polarization factor, no thermal factor.

Atomic structure:
abc: 5.2067 10.0722 8.7932
angles: 90.00 90.00 90.00
Positions (direct):
1 Cs 0.0000 0.0648 0.0000
2 Cs 0.0000 0.9352 0.5000
3 K 0.0000 0.3271 0.3804
4 K 0.0000 0.6729 0.8804
5 K 0.5000 0.4167 0.0433
6 K 0.5000 0.5833 0.5433
7 Na 0.5000 0.1988 0.6704
8 Na 0.5000 0.8012 0.1704
9 Au 0.0000 0.3549 0.7602
10 Au 0.0000 0.6451 0.2602
11 Au 0.5000 0.1187 0.2937
12 Au 0.5000 0.8813 0.7937

Principal peaks in the range 5° ≤ 2θ ≤ 70°, by angle:
d_spacing	Rel. int.
4.370	68
4.094	67
3.349	32
3.187	100
2.820	44
2.687	30
2.603	34
2.533	31
2.237	32
1.816	23

***

For Cs2KAuO2, a GGA-PBE-relaxed structure gives the theoretical PXRD pattern in this record (Cu Kα (weighted mean of Kα1 and Kα2)).
Kinematic intensities with the Lorentz-polarization factor, no thermal factor.

Atomic structure:
abc: 6.4000 11.7518 4.4359
angles: 90.00 90.00 90.00
Positions (direct):
1 Cs 0.1114 0.2402 0.0000
2 Cs 0.3886 0.7402 0.5000
3 Cs 0.6114 0.2598 0.5000
4 Cs 0.8886 0.7598 0.0000
5 K 0.0000 0.5000 0.5000
6 K 0.5000 0.0000 0.0000
7 Au 0.0000 0.0000 0.5000
8 Au 0.5000 0.5000 0.0000
9 O 0.2409 0.6024 0.0000
10 O 0.2591 0.1024 0.5000
11 O 0.7409 0.8976 0.5000
12 O 0.7591 0.3976 0.0000

Principal peaks in the range 5° ≤ 2θ ≤ 70°, by angle:
d_spacing	Rel. int.
5.621	25
4.150	13
3.482	13
3.096	100
2.938	28
2.669	12
2.218	12
2.164	13
1.770	10
1.725	18

***

For Cs4K2Au2O, a GGA-PBE-relaxed structure gives the theoretical PXRD pattern in this record (Cu Kα (weighted mean of Kα1 and Kα2)).
Kinematic intensities with the Lorentz-polarization factor, no thermal factor.

Atomic structure:
abc: 8.1941 8.1941 8.6756
angles: 120.43 120.43 61.93
Positions (direct):
1 Cs 0.1959 0.7218 0.7295
2 Cs 0.2782 0.8041 0.2705
3 Cs 0.7218 0.1959 0.7295
4 Cs 0.8041 0.2782 0.2705
5 K 0.2230 0.2230 0.1326
6 K 0.7770 0.7770 0.8674
7 Au 0.2449 0.2449 0.7629
8 Au 0.7551 0.7551 0.2371
9 O 0.0000 0.0000 0.0000

Principal peaks in the range 5° ≤ 2θ ≤ 70°, by angle:
d_spacing	Rel. int.
6.045	29
4.184	17
4.089	17
3.502	45
3.424	12
3.385	100
3.022	58
2.835	15
2.092	13
1.806	13

***

For Cs6K2PdAu, a GGA-PBE-relaxed structure gives the theoretical PXRD pattern in this record (Cu Kα (weighted mean of Kα1 and Kα2)).
Kinematic intensities with the Lorentz-polarization factor, no thermal factor.

Atomic structure:
abc: 10.1792 10.1704 10.1849
angles: 60.01 59.92 60.07
Positions (direct):
1 Cs 0.0000 0.0000 0.0000
2 Cs 0.4860 0.9986 0.0014
3 Cs 0.4862 0.9990 0.5138
4 Cs 0.4874 0.4874 0.5126
5 Cs 0.9990 0.4862 0.0010
6 Cs 0.9986 0.4860 0.5140
7 K 0.4913 0.4913 0.0087
8 K 0.9913 0.9913 0.5087
9 Pd 0.2442 0.2442 0.7558
10 Au 0.7440 0.7440 0.2560

Principal peaks in the range 5° ≤ 2θ ≤ 70°, by angle:
d_spacing	Rel. int.
7.197	83
4.155	44
3.599	100
3.219	51
2.545	78
2.399	27
2.170	21
2.078	28
1.611	19
1.608	19

***

For CsKRb2Au2, a GGA-PBE-relaxed structure gives the theoretical PXRD pattern in this record (Cu Kα (weighted mean of Kα1 and Kα2)).
Kinematic intensities with the Lorentz-polarization factor, no thermal factor.

Atomic structure:
abc: 5.5153 10.9240 9.1243
angles: 90.00 90.00 90.00
Positions (direct):
1 Cs 0.0000 0.0673 0.0000
2 Cs 0.0000 0.9327 0.5000
3 K 0.5000 0.1874 0.6649
4 K 0.5000 0.8126 0.1649
5 Rb 0.0000 0.3323 0.3763
6 Rb 0.0000 0.6677 0.8763
7 Rb 0.5000 0.4069 0.0413
8 Rb 0.5000 0.5931 0.5413
9 Au 0.0000 0.3464 0.7753
10 Au 0.0000 0.6536 0.2753
11 Au 0.5000 0.1180 0.2865
12 Au 0.5000 0.8820 0.7865

Principal peaks in the range 5° ≤ 2θ ≤ 70°, by angle:
d_spacing	Rel. int.
4.686	40
4.333	41
3.571	38
3.346	100
3.039	40
2.758	40
2.657	31
2.588	22
2.529	25
1.913	24